# MgMn3F8
Calculated powder diffractogram, Cu Kα (λ = 1.5418 Å). Input: a cell relaxed with PBE+U.
Intensities are scaled so that the largest is 1000.

Cell: 5.1873 5.1873 5.1873 Å, 90.00 90.00 90.00°
Space group Pm-3m (No. 221)
One atom of each set of equivalent atoms:
Mg  0.0000  0.0000  0.0000 (multiplicity 1)
Mn  0.0000  0.5000  0.5000 (multiplicity 3)
F  0.2453  0.2453  0.2453 (multiplicity 8)

Principal peaks in the range 2θ = 10–90°, sorted by position:
(1 0 0), 17.09°, intensity 50
(1 1 0), 24.27°, intensity 62
(1 1 1), 29.83°, intensity 980
(2 0 0), 34.58°, intensity 16
(2 1 0), 38.82°, intensity 45
(2 1 1), 42.70°, intensity 25
(2 2 0), 49.71°, intensity 1000
(3 0 0), 52.96°, intensity 15
(3 1 1), 59.06°, intensity 368
(4 0 0), 72.95°, intensity 128
(3 3 1), 80.75°, intensity 137
(4 2 0), 83.31°, intensity 17